For Nd6Zn3N, the GGA-PBE geometry in Alexandria gives the computed PXRD pattern in this record (Cu Kα).
Neutral-atom scattering factors, no anomalous dispersion.

a b c (Å): 6.6881 8.0833 11.3344
angles (deg): 90.00 118.90 90.00
Space group P2_1/c (No. 14)
Asymmetric unit:
1 Nd 0.0772 0.0497 0.2313 x4
2 Nd 0.1890 0.7176 0.0657 x4
3 Nd 0.3757 0.1521 0.0553 x4
4 Zn 0.3192 0.1145 0.7442 x4
5 Zn 0.5000 0.0000 0.5000 x2
6 N 0.0000 0.0000 0.0000 x2

Largest 6 diffraction maxima, by intensity, 2θ = 10–90°:
2.753 Å, 32.52°, intensity 100, (1 2 -3); 2.845 Å, 31.45°, intensity 96, (2 1 -3); 3.115 Å, 28.66°, intensity 88, (1 0 2); 3.199 Å, 27.89°, intensity 83, (1 2 -2); 3.070 Å, 29.08°, intensity 80, (2 1 -2); 3.133 Å, 28.48°, intensity 63, (0 2 2)